Entry 1:
Simulated X-ray diffraction stick pattern
Compound: Pu2MgZrP4
Radiation: Cu Ka
Structure: a cell relaxed with PBE
No peak broadening, texture or thermal motion is included.

Lattice parameters (Å, degrees): 6.6008 3.9122 6.8104 90.00 110.43 90.00
Positions (direct):
1 Pu 0.0000 0.0000 0.0000
2 Pu 0.0000 0.5000 0.5000
3 Mg 0.5000 0.0000 0.5000
4 Zr 0.5000 0.5000 0.0000
5 P 0.2591 0.0000 0.7569
6 P 0.2606 0.5000 0.2471
7 P 0.7394 0.5000 0.7529
8 P 0.7409 0.0000 0.2431

Principal peaks in the range 2θ = 5–70°, by angle:
| 2θ (°) | d (Å) | I/Imax |
| --- | --- | --- |
| 14.32 | 6.186 | 77 |
| 26.73 | 3.335 | 40 |
| 27.97 | 3.190 | 94 |
| 28.87 | 3.093 | 29 |
| 32.53 | 2.752 | 51 |
| 32.75 | 2.735 | 100 |
| 35.84 | 2.506 | 31 |
| 46.24 | 1.963 | 38 |
| 47.42 | 1.917 | 35 |
| 57.82 | 1.595 | 29 |

=====

Entry 2:
Simulated X-ray diffraction stick pattern
Compound: MgReP
Radiation: Cu Ka
Structure: a cell relaxed with PBE
No peak broadening, texture or thermal motion is included.

Lattice parameters (Å, degrees): 5.1851 5.1851 5.1851 145.04 145.04 50.27
Positions (direct):
1 Mg 0.0000 0.0000 0.0000
2 Re 0.3000 0.3000 0.0000
3 P 0.6924 0.6924 0.0000

Principal peaks in the range 2θ = 5–70°, by angle:
| 2θ (°) | d (Å) | I/Imax |
| --- | --- | --- |
| 18.91 | 4.694 | 65 |
| 30.23 | 2.956 | 66 |
| 38.35 | 2.347 | 11 |
| 40.91 | 2.206 | 100 |
| 45.49 | 1.994 | 28 |
| 57.33 | 1.607 | 31 |
| 59.04 | 1.565 | 4 |
| 59.34 | 1.557 | 12 |
| 62.87 | 1.478 | 11 |
| 68.04 | 1.378 | 14 |

=====

Entry 3:
Simulated X-ray diffraction stick pattern
Compound: Mg3P2Rh3
Radiation: Cu Ka
Structure: a cell relaxed with PBE
No peak broadening, texture or thermal motion is included.

Lattice parameters (Å, degrees): 7.1685 13.7380 5.2384 90.00 90.00 90.00
Positions (direct):
1 Mg 0.0158 0.1119 0.1109
2 Mg 0.0158 0.3881 0.1109
3 Mg 0.1676 0.2500 0.5969
4 Mg 0.3324 0.7500 0.0969
5 Mg 0.4842 0.6119 0.6109
6 Mg 0.4842 0.8881 0.6109
7 Mg 0.5158 0.1119 0.3891
8 Mg 0.5158 0.3881 0.3891
9 Mg 0.6676 0.2500 0.9031
10 Mg 0.8324 0.7500 0.4031
11 Mg 0.9842 0.6119 0.8891
12 Mg 0.9842 0.8881 0.8891
13 P 0.1341 0.6079 0.3983
14 P 0.1341 0.8921 0.3983
15 P 0.3659 0.1079 0.8983
16 P 0.3659 0.3921 0.8983
17 P 0.6341 0.6079 0.1017
18 P 0.6341 0.8921 0.1017
19 P 0.8659 0.1079 0.6017
20 P 0.8659 0.3921 0.6017
21 Rh 0.1647 0.0434 0.6043
22 Rh 0.1647 0.4566 0.6043
23 Rh 0.1891 0.7500 0.6077
24 Rh 0.3109 0.2500 0.1077
25 Rh 0.3353 0.5434 0.1043
26 Rh 0.3353 0.9566 0.1043
27 Rh 0.6647 0.0434 0.8957
28 Rh 0.6647 0.4566 0.8957
29 Rh 0.6891 0.7500 0.8923
30 Rh 0.8109 0.2500 0.3923
31 Rh 0.8353 0.5434 0.3957
32 Rh 0.8353 0.9566 0.3957

Principal peaks in the range 2θ = 5–70°, by angle:
| 2θ (°) | d (Å) | I/Imax |
| --- | --- | --- |
| 21.00 | 4.229 | 78 |
| 25.84 | 3.448 | 71 |
| 28.73 | 3.107 | 76 |
| 36.19 | 2.482 | 75 |
| 36.52 | 2.460 | 80 |
| 40.24 | 2.241 | 42 |
| 41.54 | 2.174 | 100 |
| 41.68 | 2.167 | 55 |
| 45.34 | 2.000 | 72 |
| 51.32 | 1.780 | 52 |